No. 1
The following is a simulated powder XRD pattern of Rb2Fe2As2N. It was derived from the PBE geometry in Alexandria, using a wavelength of 1.5418 Å.
Intensities are scaled so that the largest is 100.

Largest 6 diffraction maxima, by intensity, 5 to 70 degrees two-theta:
- 29.6 deg, 3.022 Å, I 100
- 32.5 deg, 2.755 Å, I 38
- 33.0 deg, 2.716 Å, I 37
- 45.9 deg, 1.979 Å, I 33
- 36.3 deg, 2.478 Å, I 33
- 35.0 deg, 2.565 Å, I 30

abc: 5.877 5.877 8.265
angles: 118.58 118.58 39.37
Sites, in units of the cell vectors:
Rb: 0.066 0.066 0.339
Rb: 0.934 0.934 0.661
Fe: 0.331 0.331 0.954
Fe: 0.669 0.669 0.046
As: 0.285 0.285 0.199
As: 0.715 0.715 0.801
N: 0.500 0.500 0.000



No. 2
The following is a simulated powder XRD pattern of V2Ga3Co3. It was derived from the PBE geometry in Alexandria, using a wavelength of 1.5418 Å.
Intensities are scaled so that the largest is 100.

Largest 6 diffraction maxima, by intensity, 5 to 70 degrees two-theta:
- 43.7 deg, 2.070 Å, I 100
- 43.9 deg, 2.064 Å, I 25
- 45.5 deg, 1.992 Å, I 22
- 65.1 deg, 1.433 Å, I 14
- 62.0 deg, 1.496 Å, I 8
- 10.7 deg, 8.255 Å, I 4

abc: 8.623 8.623 8.623
angles: 160.02 153.29 33.58
Sites, in units of the cell vectors:
V: 0.245 0.245 0.000
V: 0.755 0.755 0.000
Ga: 0.000 0.000 0.000
Ga: 0.376 0.876 0.500
Ga: 0.624 0.124 0.500
Co: 0.123 0.623 0.500
Co: 0.500 0.500 0.000
Co: 0.877 0.377 0.500